(1)
Starting from a cell relaxed with GGA-PBE, the powder diffraction line list of Tm2Ga2Fe15 was calculated for a wavelength of 1.5418 Å.
Intensities are scaled so that the largest is 100.

Largest 12 diffraction maxima, sorted by position, 2θ = 15–90°:
| index | 2θ/deg | I/Imax |
| --- | --- | --- |
| 1 1 2 | 30.35 | 23.4 |
| 1 0 3 | 34.63 | 12.6 |
| 3 0 0 | 37.34 | 31.2 |
| 2 0 3 | 41.04 | 18.1 |
| 2 2 0 | 43.41 | 100.0 |
| 0 0 4 | 43.53 | 19.6 |
| 2 1 3 | 46.69 | 11.7 |
| 2 2 2 | 48.85 | 10.3 |
| 2 2 4 | 63.11 | 17.5 |
| 3 3 2 | 71.55 | 11.5 |
| 6 0 0 | 79.61 | 12.2 |
| 3 0 6 | 79.85 | 13.9 |

Crystal structure
a = 8.3429 Å, b = 8.3429 Å, c = 8.3159 Å
α = 90.00°, β = 90.00°, γ = 120.00°
Space group P6_3/mmc (No. 194)
Unique sites:
Tm  0.0000  0.0000  0.2500
Tm  0.3333  0.6667  0.2500
Ga  0.3333  0.6667  0.6000
Fe  0.0000  0.5000  0.0000
Fe  0.0276  0.3582  0.7500
Fe  0.1649  0.3297  0.0117

(2)
Starting from a cell relaxed with GGA-PBE, the powder diffraction line list of UGa6Fe6 was calculated for a wavelength of 1.5418 Å.
Intensities are scaled so that the largest is 100.

Largest 12 diffraction maxima, sorted by position, 2θ = 15–90°:
| index | 2θ/deg | I/Imax |
| --- | --- | --- |
| 1 1 0 | 20.60 | 22.3 |
| 1 1 2 | 29.30 | 21.1 |
| 0 3 1 | 33.35 | 18.5 |
| 2 0 0 | 36.00 | 69.5 |
| 1 3 0 | 36.53 | 25.7 |
| 0 0 4 | 41.81 | 55.3 |
| 2 2 0 | 42.02 | 100.0 |
| 1 3 2 | 42.28 | 45.1 |
| 0 4 0 | 42.64 | 29.4 |
| 2 2 2 | 47.21 | 21.9 |
| 4 0 0 | 76.34 | 23.6 |
| 2 6 0 | 77.64 | 28.8 |

Crystal structure
a = 4.9923 Å, b = 8.4811 Å, c = 8.6368 Å
α = 90.00°, β = 90.00°, γ = 90.00°
Space group Immm (No. 71)
Unique sites:
U  0.0000  0.0000  0.0000
Ga  0.0000  0.0000  0.3475
Ga  0.0000  0.3418  0.0000
Ga  0.0000  0.5000  0.3072
Fe  0.0000  0.2656  0.5000
Fe  0.2500  0.2500  0.2500

(3)
Starting from a cell relaxed with GGA-PBE, the powder diffraction line list of Y2GaFe was calculated for a wavelength of 1.5418 Å.
Intensities are scaled so that the largest is 100.

Largest 9 diffraction maxima, sorted by position, 2θ = 15–90°:
| index | 2θ/deg | I/Imax |
| --- | --- | --- |
| 1 1 1 | 22.54 | 3.3 |
| 2 2 0 | 37.21 | 100.0 |
| 3 1 1 | 43.94 | 1.6 |
| 4 0 0 | 53.65 | 16.7 |
| 3 3 1 | 58.91 | 0.7 |
| 4 2 2 | 67.10 | 33.1 |
| 5 1 1 | 71.77 | 0.5 |
| 4 4 0 | 79.31 | 10.1 |
| 5 3 1 | 83.73 | 0.6 |

Crystal structure
a = 6.8336 Å, b = 6.8336 Å, c = 6.8336 Å
α = 90.00°, β = 90.00°, γ = 90.00°
Space group F-43m (No. 216)
Unique sites:
Y  0.0000  0.0000  0.0000
Y  0.2500  0.2500  0.2500
Ga  0.0000  0.0000  0.5000
Fe  0.2500  0.2500  0.7500

(4)
Starting from a cell relaxed with GGA-PBE, the powder diffraction line list of ZnGaFe2 was calculated for a wavelength of 1.5418 Å.
Intensities are scaled so that the largest is 100.

Largest 5 diffraction maxima, sorted by position, 2θ = 15–90°:
| index | 2θ/deg | I/Imax |
| --- | --- | --- |
| 1 1 1 | 26.29 | 1.2 |
| 2 2 0 | 43.60 | 100.0 |
| 3 1 1 | 51.63 | 0.8 |
| 4 0 0 | 63.36 | 15.3 |
| 4 2 2 | 80.07 | 29.8 |

Crystal structure
a = 5.8714 Å, b = 5.8714 Å, c = 5.8714 Å
α = 90.00°, β = 90.00°, γ = 90.00°
Space group F-43m (No. 216)
Unique sites:
Zn  0.0000  0.0000  0.0000
Ga  0.2500  0.2500  0.7500
Fe  0.0000  0.0000  0.5000
Fe  0.2500  0.2500  0.2500

(5)
Starting from a cell relaxed with GGA-PBE, the powder diffraction line list of Zr3GaFe8 was calculated for a wavelength of 1.5418 Å.
Intensities are scaled so that the largest is 100.

Largest 11 diffraction maxima, sorted by position, 2θ = 15–90°:
| index | 2θ/deg | I/Imax |
| --- | --- | --- |
| 0 1 5 | 28.03 | 0.6 |
| 1 0 7 | 33.56 | 0.8 |
| 1 1 0 | 36.63 | 42.7 |
| 2 0 2 | 43.25 | 100.0 |
| 0 2 4 | 45.28 | 27.4 |
| 2 0 8 | 52.78 | 0.8 |
| 3 0 0 | 65.96 | 14.2 |
| 1 1 15 | 70.17 | 0.5 |
| 3 0 6 | 70.53 | 28.1 |
| 2 2 0 | 77.89 | 22.4 |
| 3 1 8 | 89.30 | 6.1 |

Crystal structure
a = 4.9066 Å, b = 4.9066 Å, c = 24.0283 Å
α = 90.00°, β = 90.00°, γ = 120.00°
Space group R3m (No. 160, hexagonal axes)
Unique sites:
Zr  0.0000  0.0000  0.0000
Zr  0.0000  0.0000  0.1276
Zr  0.0000  0.0000  0.6199
Ga  0.0000  0.0000  0.4972
Fe  0.0000  0.0000  0.3120
Fe  0.0000  0.0000  0.8122
Fe  0.0009  0.5004  0.5612
Fe  0.0011  0.5006  0.0628

(6)
Starting from a cell relaxed with GGA-PBE, the powder diffraction line list of Gd2Fe17 was calculated for a wavelength of 1.5418 Å.
Intensities are scaled so that the largest is 100.

Largest 12 diffraction maxima, sorted by position, 2θ = 15–90°:
| index | 2θ/deg | I/Imax |
| --- | --- | --- |
| 1 1 2 | 30.35 | 40.3 |
| 3 0 0 | 37.17 | 40.9 |
| 2 0 3 | 41.08 | 28.9 |
| 2 2 0 | 43.18 | 57.7 |
| 3 0 2 | 43.32 | 100.0 |
| 0 0 4 | 43.71 | 32.2 |
| 2 1 3 | 46.68 | 15.6 |
| 2 2 2 | 48.71 | 17.4 |
| 2 2 4 | 63.13 | 17.4 |
| 3 3 2 | 71.26 | 16.0 |
| 6 0 0 | 79.20 | 16.3 |
| 3 0 6 | 80.03 | 18.4 |

Crystal structure
a = 8.3796 Å, b = 8.3796 Å, c = 8.2833 Å
α = 90.00°, β = 90.00°, γ = 120.00°
Space group P6_3/mmc (No. 194)
Unique sites:
Gd  0.0000  0.0000  0.2500
Gd  0.3333  0.6667  0.2500
Fe  0.0000  0.5000  0.0000
Fe  0.0395  0.3690  0.7500
Fe  0.1658  0.3315  0.0134
Fe  0.3333  0.6667  0.6079